Simulated PXRD pattern
Compound: CsErZnTe3
Radiation: Cu Kα, 1.54184 Å
Structure: a structure optimized by DFT (PBE)
Kinematic intensities with the Lorentz-polarization factor, no thermal factor.

Cell and atoms:
```
data_CsErZnTe3
_cell_length_a 4.4168
_cell_length_b 17.1125
_cell_length_c 11.6902
_cell_angle_alpha 90.00
_cell_angle_beta 90.00
_cell_angle_gamma 90.00
_symmetry_space_group_name_H-M 'C m c m'
_symmetry_Int_Tables_number 63
_symmetry_space_group_name_Hall '-C 2c 2'
loop_
_atom_site_label
_atom_site_type_symbol
_atom_site_fract_x
_atom_site_fract_y
_atom_site_fract_z
_atom_site_occupancy
Cs1 Cs 0.0000 0.2455 0.2500 1
Er1 Er 0.0000 0.5000 0.0000 1
Zn1 Zn 0.0000 0.0395 0.7500 1
Te1 Te 0.0000 0.1202 0.5557 1
Te2 Te 0.0000 0.4421 0.7500 1
```

Most intense lines, 10 to 90 degrees two-theta, by angle:
- (0 2 0), 2θ 10.3, intensity 72.5
- (1 3 0), 2θ 25.5, intensity 51.2
- (1 3 1), 2θ 26.6, intensity 100.0
- (1 3 2), 2θ 29.8, intensity 44.0
- (1 5 2), 2θ 36.6, intensity 52.4
- (1 7 3), 2θ 48.6, intensity 42.7